Entry 1:
For FeAgS2, a cell relaxed with GGA-PBE gives the computed powder X-ray diffraction pattern in this record (Cu Kα X-rays).

Cell and atoms:
a = 7.094 Å, b = 7.094 Å, c = 7.094 Å
α = 27.47°, β = 27.47°, γ = 27.47°
Element x y z (fractional)
1 Fe 0.000 0.000 0.000
2 Ag 0.844 0.844 0.844
3 S 0.273 0.273 0.273
4 S 0.724 0.724 0.724

Peak list (12 most intense, 2θ from 10° to 90°, sorted by position)
two_theta  I/Imax
26.12  41
30.96  100
31.90  56
35.42  23
37.87  37
43.84  84
47.25  27
54.47  49
58.87  14
61.38  21
72.40  17
80.07  11

Entry 2:
For FeAgS2, a cell relaxed with GGA-PBE gives the computed powder X-ray diffraction pattern in this record (Cu Kα X-rays).

Cell and atoms:
a = 6.498 Å, b = 6.498 Å, c = 6.498 Å
α = 128.76°, β = 128.76°, γ = 75.40°
Element x y z (fractional)
1 Fe 0.000 0.000 0.000
2 Fe 0.750 0.250 0.500
3 Ag 0.250 0.750 0.500
4 Ag 0.500 0.500 0.000
5 S 0.073 0.625 0.948
6 S 0.375 0.323 0.448
7 S 0.677 0.125 0.052
8 S 0.875 0.927 0.552

Peak list (12 most intense, 2θ from 10° to 90°, sorted by position)
two_theta  I/Imax
17.99  6
28.38  100
30.55  6
31.85  14
36.81  8
45.66  19
47.96  35
54.64  28
58.68  17
66.55  5
77.36  12
86.13  10

Entry 3:
For FeAg2SnS4, a cell relaxed with GGA-PBE gives the computed powder X-ray diffraction pattern in this record (Cu Kα X-rays).

Cell and atoms:
a = 7.138 Å, b = 7.138 Å, c = 7.138 Å
α = 133.78°, β = 133.78°, γ = 67.43°
Element x y z (fractional)
1 Fe 0.000 0.000 0.000
2 Ag 0.250 0.750 0.500
3 Ag 0.750 0.250 0.500
4 Sn 0.500 0.500 0.000
5 S 0.120 0.651 0.000
6 S 0.349 0.349 0.469
7 S 0.651 0.120 0.000
8 S 0.880 0.880 0.531

Peak list (12 most intense, 2θ from 10° to 90°, sorted by position)
two_theta  I/Imax
27.06  100
30.10  8
31.95  13
44.46  39
45.80  18
51.62  16
54.01  27
55.79  6
66.78  6
71.46  12
80.93  6
83.80  12

Please write out number 1 again, unchanged.
For FeAgS2, a cell relaxed with GGA-PBE gives the computed powder X-ray diffraction pattern in this record (Cu Kα X-rays).

Cell and atoms:
a = 7.094 Å, b = 7.094 Å, c = 7.094 Å
α = 27.47°, β = 27.47°, γ = 27.47°
Element x y z (fractional)
1 Fe 0.000 0.000 0.000
2 Ag 0.844 0.844 0.844
3 S 0.273 0.273 0.273
4 S 0.724 0.724 0.724

Peak list (12 most intense, 2θ from 10° to 90°, sorted by position)
two_theta  I/Imax
26.12  41
30.96  100
31.90  56
35.42  23
37.87  37
43.84  84
47.25  27
54.47  49
58.87  14
61.38  21
72.40  17
80.07  11